Calculated XRD peak list of MgTi3V5O16 for Cu Kα (λ = 1.5418 Å), from a PBE+U-relaxed structure.
Neutral-atom scattering factors, no anomalous dispersion.

```
data_MgTi3V5O16
_cell_length_a 5.860
_cell_length_b 5.880
_cell_length_c 9.784
_cell_angle_alpha 82.12
_cell_angle_beta 81.68
_cell_angle_gamma 61.66
_space_group_name_H-M_alt 'P 1'
_space_group_IT_number 1
loop_
_space_group_symop_operation_xyz
'x,y,z'
loop_
_atom_site_label
_atom_site_fract_x
_atom_site_fract_y
_atom_site_fract_z
Mg1 0.000 0.000 0.000
Ti1 0.044 0.038 0.706
Ti2 0.294 0.749 0.273
Ti3 0.815 0.295 0.272
V1 0.024 0.525 0.764
V2 0.327 0.322 0.062
V3 0.529 0.023 0.763
V4 0.578 0.572 0.542
V5 0.751 0.814 0.271
O1 0.123 0.663 0.144
O2 0.132 0.137 0.146
O3 0.219 0.713 0.638
O4 0.229 0.225 0.645
O5 0.330 0.898 0.861
O6 0.348 0.347 0.871
O7 0.457 0.898 0.382
O8 0.458 0.448 0.379
O9 0.630 0.642 0.160
O10 0.664 0.131 0.142
O11 0.719 0.213 0.639
O12 0.722 0.716 0.652
O13 0.868 0.866 0.852
O14 0.896 0.468 0.382
O15 0.897 0.330 0.862
O16 0.941 0.947 0.360
```

Main lines, in order of rising 2θ (2θ = 15–90°):
Position (°2θ)  d (Å)  Rel. int.
18.4  4.825  100
18.8  4.711  37
21.4  4.151  46
30.5  2.929  28
35.3  2.542  65
63.5  1.465  26



Calculated XRD peak list of Mg6TiVO8 for Cu Kα (λ = 1.5418 Å), from a PBE+U-relaxed structure.
Neutral-atom scattering factors, no anomalous dispersion.

```
data_Mg6TiVO8
_cell_length_a 4.288
_cell_length_b 4.288
_cell_length_c 8.638
_cell_angle_alpha 90.00
_cell_angle_beta 90.00
_cell_angle_gamma 90.00
_space_group_name_H-M_alt 'P 1'
_space_group_IT_number 1
loop_
_space_group_symop_operation_xyz
'x,y,z'
loop_
_atom_site_label
_atom_site_fract_x
_atom_site_fract_y
_atom_site_fract_z
Mg1 0.000 0.000 0.000
Mg2 0.000 0.500 0.248
Mg3 0.000 0.500 0.752
Mg4 0.500 0.000 0.248
Mg5 0.500 0.000 0.752
Mg6 0.500 0.500 0.000
Ti1 0.000 0.000 0.500
V1 0.500 0.500 0.500
O1 0.000 0.000 0.244
O2 0.000 0.000 0.756
O3 0.000 0.500 0.000
O4 0.000 0.500 0.500
O5 0.500 0.000 0.000
O6 0.500 0.000 0.500
O7 0.500 0.500 0.245
O8 0.500 0.500 0.755
```

Main lines, in order of rising 2θ (2θ = 15–90°):
Position (°2θ)  d (Å)  Rel. int.
36.2  2.482  31
41.8  2.159  51
42.1  2.144  100
60.9  1.521  57
61.1  1.516  28
76.8  1.241  26



Calculated XRD peak list of MgTi3V5O16 for Cu Kα (λ = 1.5418 Å), from a PBE+U-relaxed structure.
Neutral-atom scattering factors, no anomalous dispersion.

```
data_MgTi3V5O16
_cell_length_a 5.948
_cell_length_b 5.963
_cell_length_c 9.239
_cell_angle_alpha 90.03
_cell_angle_beta 90.15
_cell_angle_gamma 119.70
_space_group_name_H-M_alt 'P 1'
_space_group_IT_number 1
loop_
_space_group_symop_operation_xyz
'x,y,z'
loop_
_atom_site_label
_atom_site_fract_x
_atom_site_fract_y
_atom_site_fract_z
Mg1 0.000 0.000 0.000
Ti1 0.512 0.998 0.184
Ti2 0.855 0.203 0.664
Ti3 0.997 0.501 0.184
V1 0.021 0.997 0.402
V2 0.330 0.664 0.894
V3 0.338 0.156 0.680
V4 0.496 0.499 0.183
V5 0.811 0.671 0.663
O1 0.142 0.857 0.548
O2 0.144 0.281 0.548
O3 0.182 0.371 0.047
O4 0.182 0.808 0.048
O5 0.310 0.146 0.284
O6 0.325 0.670 0.286
O7 0.489 0.498 0.774
O8 0.494 0.002 0.776
O9 0.628 0.819 0.048
O10 0.662 0.332 0.567
O11 0.665 0.323 0.080
O12 0.717 0.854 0.543
O13 0.839 0.156 0.283
O14 0.848 0.674 0.285
O15 0.993 0.001 0.785
O16 0.995 0.509 0.773
```

Main lines, in order of rising 2θ (2θ = 15–90°):
Position (°2θ)  d (Å)  Rel. int.
19.2  4.619  97
19.7  4.511  100
25.9  3.444  77
35.8  2.505  57
36.0  2.495  44
45.8  1.982  41



Calculated XRD peak list of MgTi2V2O6 for Cu Kα (λ = 1.5418 Å), from a PBE+U-relaxed structure.
Neutral-atom scattering factors, no anomalous dispersion.

```
data_MgTi2V2O6
_cell_length_a 5.980
_cell_length_b 5.980
_cell_length_c 5.980
_cell_angle_alpha 51.23
_cell_angle_beta 51.23
_cell_angle_gamma 51.23
_space_group_name_H-M_alt 'P 1'
_space_group_IT_number 1
loop_
_space_group_symop_operation_xyz
'x,y,z'
loop_
_atom_site_label
_atom_site_fract_x
_atom_site_fract_y
_atom_site_fract_z
Mg1 0.000 0.000 0.000
Ti1 0.349 0.349 0.349
Ti2 0.651 0.651 0.651
V1 0.170 0.170 0.170
V2 0.830 0.830 0.830
O1 0.057 0.759 0.411
O2 0.241 0.589 0.943
O3 0.411 0.057 0.759
O4 0.589 0.943 0.241
O5 0.759 0.411 0.057
O6 0.943 0.241 0.589
```

Main lines, in order of rising 2θ (2θ = 15–90°):
Position (°2θ)  d (Å)  Rel. int.
22.9  3.880  29
30.5  2.935  28
34.7  2.586  82
38.9  2.313  24
49.8  1.830  100
62.2  1.493  35